For MgCr2Sb2P4O16, a DFT-relaxed cell (GGA+U, Alexandria) gives the calculated X-ray diffraction stick pattern in this record (Cu Kα (weighted mean of Kα1 and Kα2)).
Peak positions follow from Bragg's law for the DFT cell and can differ from measured ones.

Crystal structure
abc: 4.8907 6.5452 11.1083
angles: 84.92 88.36 89.60
Space group P-1 (No. 2)
Symmetry-distinct sites (fractional):
Mg: 0.0000 0.0000 0.0000 x1
Cr: 0.0978 0.7832 0.3066 x2
Sb: 0.4895 0.6813 0.7798 x2
P: 0.0500 0.2583 0.3955 x2
P: 0.4039 0.1954 0.8737 x2
O: 0.0942 0.2335 0.5293 x2
O: 0.1932 0.4577 0.3305 x2
O: 0.2064 0.0933 0.3236 x2
O: 0.2610 0.7402 0.6298 x2
O: 0.2631 0.9906 0.8439 x2
O: 0.2773 0.8186 0.1301 x2
O: 0.2795 0.2371 0.9980 x2
O: 0.3180 0.3636 0.7724 x2

Top 10 peaks for 10° ≤ 2θ ≤ 90°, by intensity:
h k l, 2theta, d/Å, I_rel
0 0 2, 16.0, 5.530, 100.0
1 0 2, 24.0, 3.715, 90.9
0 2 0, 27.4, 3.260, 51.5
0 1 2, 20.1, 4.419, 42.4
1 -2 1, 34.6, 2.593, 34.4
1 0 1, 19.6, 4.519, 34.4
-1 1 3, 32.9, 2.721, 29.3
0 1 -1, 16.4, 5.411, 27.4
1 0 3, 29.9, 2.984, 25.9
0 2 1, 27.8, 3.204, 24.5